Starting from a cell relaxed with PBE+U, the powder diffractogram of VPHO5 was calculated for CuKα.

Peak list (6 most intense, 2θ = 10–90°, in order of rising 2θ)
| two_theta | intensity | h k l |
| --- | --- | --- |
| 18.23 | 60 | 0 1 0 |
| 18.36 | 52 | 1 0 -1 |
| 18.61 | 76 | 1 0 0 |
| 26.50 | 55 | 1 0 -2 |
| 27.09 | 100 | 0 1 -2 |
| 29.57 | 66 | 1 1 0 |

Structural model:
Unit cell a=5.222 b=5.256 c=7.357 alpha=105.94 beta=108.83 gamma=98.98
Fractional coordinates of all 16 atoms:
V: 0.000 0.000 0.000
V: 0.000 0.000 0.500
P: 0.328 0.662 0.271
P: 0.672 0.338 0.729
H: 0.342 0.999 0.825
H: 0.658 0.001 0.175
O: 0.126 0.696 0.385
O: 0.135 0.958 0.774
O: 0.257 0.356 0.139
O: 0.297 0.839 0.130
O: 0.366 0.250 0.575
O: 0.634 0.750 0.425
O: 0.703 0.161 0.870
O: 0.743 0.644 0.861
O: 0.865 0.042 0.226
O: 0.874 0.304 0.615